For Ho2Sb2O7, the PBE geometry in the Materials Project gives the theoretical PXRD pattern in this record (a wavelength of 1.5418 Å).
No peak broadening, texture or thermal motion is included.

Unit cell a=7.5385 b=7.5385 c=7.5385 alpha=118.52 beta=90.24 gamma=121.21
Element x y z (fractional)
Ho (0.0000, 0.0000, 0.0000)
Ho (0.5000, 0.0000, 0.0000)
Ho (0.5000, 0.0000, 0.5000)
Ho (0.5000, 0.5000, 0.5000)
Sb (0.0000, 0.0000, 0.5000)
Sb (0.0000, 0.5000, 0.0000)
Sb (0.0000, 0.5000, 0.5000)
Sb (0.5000, 0.5000, 0.0000)
O (0.0316, 0.7816, 0.2500)
O (0.0743, 0.2031, 0.3749)
O (0.0743, 0.6994, 0.8712)
O (0.3282, 0.2031, 0.6288)
O (0.3282, 0.6994, 0.1251)
O (0.3659, 0.2469, 0.1190)
O (0.3722, 0.7531, 0.6190)
O (0.6278, 0.2469, 0.3810)
O (0.6341, 0.7531, 0.8810)
O (0.6718, 0.3006, 0.8749)
O (0.6718, 0.7969, 0.3712)
O (0.9257, 0.3006, 0.1288)
O (0.9257, 0.7969, 0.6251)
O (0.9684, 0.2184, 0.7500)

Most intense lines, 10° ≤ 2θ ≤ 90°, in order of rising 2θ:
2θ 28.6, intensity 96; 2θ 29.4, intensity 100; 2θ 33.6, intensity 44; 2θ 33.7, intensity 24; 2θ 47.2, intensity 18; 2θ 48.3, intensity 60; 2θ 49.3, intensity 14; 2θ 56.6, intensity 31; 2θ 57.7, intensity 15; 2θ 58.0, intensity 27


For HoSbO4, the PBE geometry in the Materials Project gives the theoretical PXRD pattern in this record (a wavelength of 1.5418 Å).
No peak broadening, texture or thermal motion is included.

Unit cell a=7.6835 b=5.3825 c=7.5557 alpha=90.00 beta=98.89 gamma=90.00
Element x y z (fractional)
Ho (0.1489, 0.2265, 0.3828)
Ho (0.1489, 0.2735, 0.8828)
Ho (0.8511, 0.7265, 0.1172)
Ho (0.8511, 0.7735, 0.6172)
Sb (0.3391, 0.7352, 0.1921)
Sb (0.3391, 0.7648, 0.6921)
Sb (0.6609, 0.2352, 0.3079)
Sb (0.6609, 0.2648, 0.8079)
O (0.1138, 0.5348, 0.1789)
O (0.1138, 0.9652, 0.6789)
O (0.1855, 0.0217, 0.1170)
O (0.1855, 0.4783, 0.6170)
O (0.3260, 0.6165, 0.9386)
O (0.3260, 0.8835, 0.4386)
O (0.4301, 0.0915, 0.8073)
O (0.4301, 0.4085, 0.3073)
O (0.5699, 0.5915, 0.6927)
O (0.5699, 0.9085, 0.1927)
O (0.6740, 0.1165, 0.5614)
O (0.6740, 0.3835, 0.0614)
O (0.8145, 0.5217, 0.3830)
O (0.8145, 0.9783, 0.8830)
O (0.8862, 0.0348, 0.3211)
O (0.8862, 0.4652, 0.8211)

Most intense lines, 10° ≤ 2θ ≤ 90°, in order of rising 2θ:
2θ 23.4, intensity 15; 2θ 28.8, intensity 100; 2θ 29.1, intensity 80; 2θ 30.0, intensity 23; 2θ 30.9, intensity 17; 2θ 33.3, intensity 27; 2θ 36.3, intensity 16; 2θ 46.1, intensity 17; 2θ 50.0, intensity 25; 2θ 51.0, intensity 14


For Ho2SbO2, the PBE geometry in the Materials Project gives the theoretical PXRD pattern in this record (a wavelength of 1.5418 Å).
No peak broadening, texture or thermal motion is included.

Unit cell a=7.1837 b=7.1837 c=7.1837 alpha=148.94 beta=44.42 gamma=149.05
Element x y z (fractional)
Ho (0.1664, 0.0000, 0.1664)
Ho (0.8336, 0.0000, 0.8336)
Sb (0.5245, 0.0245, 0.5000)
O (0.2506, 0.5008, 0.7498)
O (0.7510, 0.5008, 0.2502)

Most intense lines, 10° ≤ 2θ ≤ 90°, in order of rising 2θ:
2θ 30.8, intensity 100; 2θ 33.0, intensity 36; 2θ 40.7, intensity 10; 2θ 47.3, intensity 9; 2θ 47.4, intensity 8; 2θ 53.3, intensity 24; 2θ 57.5, intensity 17; 2θ 57.6, intensity 17; 2θ 68.0, intensity 10; 2θ 87.0, intensity 11


For HoSbO3, the PBE geometry in the Materials Project gives the theoretical PXRD pattern in this record (a wavelength of 1.5418 Å).
No peak broadening, texture or thermal motion is included.

Unit cell a=4.2463 b=4.2463 c=4.2463 alpha=90.00 beta=90.00 gamma=90.00
Element x y z (fractional)
Ho (0.0000, 0.0000, 0.0000)
Sb (0.5000, 0.5000, 0.5000)
O (0.0000, 0.5000, 0.5000)
O (0.5000, 0.0000, 0.5000)
O (0.5000, 0.5000, 0.0000)

Most intense lines, 10° ≤ 2θ ≤ 90°, in order of rising 2θ:
2θ 20.9, intensity 1; 2θ 29.8, intensity 100; 2θ 36.7, intensity 4; 2θ 42.6, intensity 29; 2θ 52.8, intensity 41; 2θ 61.8, intensity 18; 2θ 70.1, intensity 18; 2θ 74.0, intensity 1; 2θ 77.9, intensity 6; 2θ 85.6, intensity 21


For Sr2HoSbO6, the PBE geometry in the Materials Project gives the theoretical PXRD pattern in this record (a wavelength of 1.5418 Å).
No peak broadening, texture or thermal motion is included.

Unit cell a=5.8592 b=5.9081 c=10.1517 alpha=90.00 beta=125.06 gamma=90.00
Element x y z (fractional)
Sr (0.2424, 0.0312, 0.2496)
Sr (0.2424, 0.4688, 0.7496)
Sr (0.7576, 0.5312, 0.2504)
Sr (0.7576, 0.9688, 0.7504)
Ho (0.5000, 0.0000, 0.0000)
Ho (0.5000, 0.5000, 0.5000)
Sb (0.0000, 0.0000, 0.5000)
Sb (0.0000, 0.5000, 0.0000)
O (0.1589, 0.2267, 0.9594)
O (0.1589, 0.2733, 0.4594)
O (0.2331, 0.7024, 0.9613)
O (0.2331, 0.7976, 0.4613)
O (0.3113, 0.0198, 0.7364)
O (0.3113, 0.4802, 0.2364)
O (0.6887, 0.5198, 0.7636)
O (0.6887, 0.9802, 0.2636)
O (0.7669, 0.2024, 0.5387)
O (0.7669, 0.2976, 0.0387)
O (0.8411, 0.7267, 0.5406)
O (0.8411, 0.7733, 0.0406)

Most intense lines, 10° ≤ 2θ ≤ 90°, in order of rising 2θ:
2θ 21.4, intensity 19; 2θ 30.3, intensity 25; 2θ 30.4, intensity 100; 2θ 30.5, intensity 24; 2θ 43.5, intensity 41; 2θ 53.8, intensity 19; 2θ 54.0, intensity 17; 2θ 54.1, intensity 11; 2θ 54.2, intensity 17; 2θ 88.2, intensity 8


For HoZnSb2O6, the PBE geometry in the Materials Project gives the theoretical PXRD pattern in this record (a wavelength of 1.5418 Å).
No peak broadening, texture or thermal motion is included.

Unit cell a=5.5588 b=6.3356 c=8.5952 alpha=83.50 beta=89.68 gamma=85.81
Element x y z (fractional)
Ho (0.0000, 0.0000, 0.0000)
Ho (0.4827, 0.3397, 0.4908)
Zn (0.4692, 0.2414, 0.9593)
Zn (0.9765, 0.0676, 0.4845)
Sb (0.4264, 0.8300, 0.7340)
Sb (0.4663, 0.9117, 0.2649)
Sb (0.9299, 0.4255, 0.7376)
Sb (0.9613, 0.5033, 0.2240)
O (0.0951, 0.3844, 0.4294)
O (0.1264, 0.7627, 0.8428)
O (0.1613, 0.7664, 0.2089)
O (0.2151, 0.2022, 0.8128)
O (0.2643, 0.1688, 0.1545)
O (0.3110, 0.9525, 0.4894)
O (0.5039, 0.5423, 0.6744)
O (0.6292, 0.9041, 0.0600)
O (0.6386, 0.6221, 0.3400)
O (0.7024, 0.1089, 0.3348)
O (0.7773, 0.1732, 0.6513)
O (0.7893, 0.3276, 0.9494)

Most intense lines, 10° ≤ 2θ ≤ 90°, in order of rising 2θ:
2θ 19.1, intensity 38; 2θ 23.8, intensity 47; 2θ 26.5, intensity 30; 2θ 28.3, intensity 67; 2θ 29.4, intensity 70; 2θ 30.5, intensity 64; 2θ 31.7, intensity 100; 2θ 32.3, intensity 65; 2θ 33.8, intensity 30; 2θ 42.3, intensity 35


For HoScO3, the PBE geometry in the Materials Project gives the theoretical PXRD pattern in this record (a wavelength of 1.5418 Å).
No peak broadening, texture or thermal motion is included.

Unit cell a=5.7333 b=7.9748 c=5.4375 alpha=90.00 beta=90.00 gamma=90.00
Element x y z (fractional)
Ho (0.0621, 0.2500, 0.0198)
Ho (0.4379, 0.7500, 0.5198)
Ho (0.5621, 0.2500, 0.4802)
Ho (0.9379, 0.7500, 0.9802)
Sc (0.0000, 0.0000, 0.5000)
Sc (0.0000, 0.5000, 0.5000)
Sc (0.5000, 0.0000, 0.0000)
Sc (0.5000, 0.5000, 0.0000)
O (0.0592, 0.7500, 0.3676)
O (0.1924, 0.5692, 0.8104)
O (0.1924, 0.9308, 0.8104)
O (0.3076, 0.0692, 0.3104)
O (0.3076, 0.4308, 0.3104)
O (0.4408, 0.2500, 0.8676)
O (0.5592, 0.7500, 0.1324)
O (0.6924, 0.5692, 0.6896)
O (0.6924, 0.9308, 0.6896)
O (0.8076, 0.0692, 0.1896)
O (0.8076, 0.4308, 0.1896)
O (0.9408, 0.2500, 0.6324)

Most intense lines, 10° ≤ 2θ ≤ 90°, in order of rising 2θ:
2θ 22.3, intensity 23; 2θ 22.5, intensity 34; 2θ 25.2, intensity 20; 2θ 31.2, intensity 18; 2θ 31.9, intensity 100; 2θ 32.9, intensity 22; 2θ 46.0, intensity 16; 2θ 47.5, intensity 14; 2θ 52.0, intensity 20; 2θ 58.2, intensity 27


For Ho2Se3O20, the PBE geometry in the Materials Project gives the theoretical PXRD pattern in this record (a wavelength of 1.5418 Å).
No peak broadening, texture or thermal motion is included.

Unit cell a=7.2010 b=7.2010 c=19.5055 alpha=98.52 beta=98.52 gamma=57.67
Element x y z (fractional)
Ho (0.1452, 0.1780, 0.3938)
Ho (0.1780, 0.1452, 0.8938)
Ho (0.8220, 0.8548, 0.1062)
Ho (0.8548, 0.8220, 0.6062)
Se (0.1796, 0.2335, 0.0846)
Se (0.2335, 0.1796, 0.5846)
Se (0.2816, 0.7184, 0.7500)
Se (0.7184, 0.2816, 0.2500)
Se (0.7665, 0.8204, 0.4154)
Se (0.8204, 0.7665, 0.9154)
O (0.0407, 0.7551, 0.7140)
O (0.0786, 0.2130, 0.0034)
O (0.0833, 0.4538, 0.5865)
O (0.0840, 0.1498, 0.1401)
O (0.1065, 0.4928, 0.1133)
O (0.1498, 0.0840, 0.6401)
O (0.1754, 0.8149, 0.1435)
O (0.1851, 0.8246, 0.3565)
O (0.1970, 0.7747, 0.5804)
O (0.2130, 0.0786, 0.5034)
O (0.2253, 0.8030, 0.9196)
O (0.2449, 0.9593, 0.7860)
O (0.2718, 0.3400, 0.8183)
O (0.3174, 0.3790, 0.4267)
O (0.3400, 0.2718, 0.3183)
O (0.3790, 0.3174, 0.9267)
O (0.3918, 0.5427, 0.8143)
O (0.4538, 0.0833, 0.0865)
O (0.4573, 0.6082, 0.6857)
O (0.4928, 0.1065, 0.6133)
O (0.5072, 0.8935, 0.3867)
O (0.5427, 0.3918, 0.3143)
O (0.5462, 0.9167, 0.9135)
O (0.6082, 0.4573, 0.1857)
O (0.6210, 0.6826, 0.0733)
O (0.6600, 0.7282, 0.6817)
O (0.6826, 0.6210, 0.5733)
O (0.7282, 0.6600, 0.1817)
O (0.7551, 0.0407, 0.2140)
O (0.7747, 0.1970, 0.0804)
O (0.7870, 0.9214, 0.4966)
O (0.8030, 0.2253, 0.4196)
O (0.8149, 0.1754, 0.6435)
O (0.8246, 0.1851, 0.8565)
O (0.8502, 0.9160, 0.3599)
O (0.8935, 0.5072, 0.8867)
O (0.9160, 0.8502, 0.8599)
O (0.9167, 0.5462, 0.4135)
O (0.9214, 0.7870, 0.9966)
O (0.9593, 0.2449, 0.2860)

Most intense lines, 10° ≤ 2θ ≤ 90°, in order of rising 2θ:
2θ 14.6, intensity 58; 2θ 15.6, intensity 100; 2θ 17.9, intensity 44; 2θ 18.5, intensity 56; 2θ 25.0, intensity 67; 2θ 25.6, intensity 30; 2θ 29.5, intensity 35; 2θ 31.8, intensity 29; 2θ 38.1, intensity 28; 2θ 39.2, intensity 33